For LiV2F7, DFT lattice parameters and positions (GGA+U) gives the simulated PXRD pattern in this record (CuKα).

Top 10 peaks for 10 to 80 degrees two-theta, low angle first:
index  two_theta  d (Å)  Rel. int.
0 1 1  14.9  5.934  100
1 0 1  17.1  5.171  39
1 2 1  23.9  3.727  35
0 3 1  27.9  3.202  21
2 1 1  28.1  3.178  29
2 2 0  29.0  3.084  43
0 2 2  30.1  2.967  21
0 3 3  45.9  1.978  14
2 4 2  48.9  1.864  23
2 2 4  60.0  1.541  20

Atomic structure:
a = 7.5278 Å, b = 10.7546 Å, c = 7.1154 Å
α = 90.00°, β = 90.00°, γ = 90.00°
Space group Imma (No. 74)
Symmetry-distinct sites (fractional):
Li (0.0000, 0.0000, 0.0000)
V (0.0000, 0.0000, 0.5000)
V (0.2500, 0.2500, 0.2500)
F (0.0000, 0.0507, 0.7560)
F (0.0000, 0.2500, 0.1554)
F (0.1976, 0.1206, 0.4364)